# 1
Structure and theoretical powder diffractogram of Tb4CuSb (the PBE geometry in Alexandria; Cu Ka).
Lines closer than 0.1° are merged.

Main lines, by intensity (5 to 70 degrees two-theta):
- 2θ = 27.74°, I = 100
- 2θ = 27.82°, I = 78
- 2θ = 28.75°, I = 65
- 2θ = 41.88°, I = 42
- 2θ = 30.42°, I = 39
- 2θ = 30.08°, I = 38
- 2θ = 30.77°, I = 29
- 2θ = 42.31°, I = 24
- 2θ = 48.47°, I = 24
- 2θ = 48.61°, I = 20

Lattice parameters (Å, degrees): 7.194 7.205 7.045 90.00 92.60 90.00
Sites, in units of the cell vectors:
Tb 0.144 0.166 0.180
Tb 0.144 0.334 0.680
Tb 0.329 0.645 0.130
Tb 0.329 0.855 0.630
Tb 0.671 0.145 0.370
Tb 0.671 0.355 0.870
Tb 0.856 0.666 0.320
Tb 0.856 0.834 0.820
Cu 0.000 0.000 0.500
Cu 0.000 0.500 0.000
Sb 0.500 0.000 0.000
Sb 0.500 0.500 0.500

***

# 2
Structure and theoretical powder diffractogram of Tb3Cu3Sb4 (the PBE geometry in Alexandria; Cu Ka).
Lines closer than 0.1° are merged.

Main lines, by intensity (5 to 70 degrees two-theta):
- 2θ = 34.93°, I = 100
- 2θ = 29.38°, I = 53
- 2θ = 42.04°, I = 36
- 2θ = 59.26°, I = 18
- 2θ = 46.27°, I = 16
- 2θ = 60.96°, I = 13
- 2θ = 44.20°, I = 11
- 2θ = 48.28°, I = 10
- 2θ = 62.64°, I = 9
- 2θ = 67.51°, I = 9

Lattice parameters (Å, degrees): 8.324 8.324 8.324 109.47 109.47 109.47
Sites, in units of the cell vectors:
Tb 0.125 0.875 0.250
Tb 0.250 0.125 0.875
Tb 0.375 0.625 0.750
Tb 0.625 0.750 0.375
Tb 0.750 0.375 0.625
Tb 0.875 0.250 0.125
Cu 0.125 0.750 0.875
Cu 0.250 0.625 0.375
Cu 0.375 0.250 0.625
Cu 0.625 0.375 0.250
Cu 0.750 0.875 0.125
Cu 0.875 0.125 0.750
Sb 0.000 0.161 0.500
Sb 0.000 0.661 0.500
Sb 0.161 0.500 0.000
Sb 0.339 0.339 0.339
Sb 0.500 0.000 0.161
Sb 0.500 0.000 0.661
Sb 0.661 0.500 0.000
Sb 0.839 0.839 0.839

***

# 3
Structure and theoretical powder diffractogram of Tb5Cu2Sb (the PBE geometry in Alexandria; Cu Ka).
Lines closer than 0.1° are merged.

Main lines, by intensity (5 to 70 degrees two-theta):
- 2θ = 32.66°, I = 100
- 2θ = 35.76°, I = 98
- 2θ = 31.92°, I = 41
- 2θ = 26.00°, I = 26
- 2θ = 56.81°, I = 20
- 2θ = 67.03°, I = 17
- 2θ = 54.19°, I = 13
- 2θ = 69.11°, I = 13
- 2θ = 66.59°, I = 13
- 2θ = 56.13°, I = 11

Lattice parameters (Å, degrees): 8.564 8.564 8.564 124.71 124.71 82.01
Sites, in units of the cell vectors:
Tb 0.000 0.000 0.000
Tb 0.013 0.513 0.810
Tb 0.203 0.013 0.500
Tb 0.297 0.797 0.810
Tb 0.487 0.297 0.500
Tb 0.500 0.500 0.000
Tb 0.513 0.703 0.500
Tb 0.703 0.203 0.190
Tb 0.797 0.987 0.500
Tb 0.987 0.487 0.190
Cu 0.131 0.369 0.500
Cu 0.369 0.869 0.239
Cu 0.631 0.131 0.761
Cu 0.869 0.631 0.500
Sb 0.250 0.250 0.000
Sb 0.750 0.750 0.000

***

# 4
Structure and theoretical powder diffractogram of Cu2SbTe (the PBE geometry in Alexandria; Cu Ka).
Lines closer than 0.1° are merged.

Main lines, by intensity (5 to 70 degrees two-theta):
- 2θ = 45.14°, I = 100
- 2θ = 29.06°, I = 81
- 2θ = 34.48°, I = 65
- 2θ = 31.26°, I = 48
- 2θ = 40.84°, I = 40
- 2θ = 54.48°, I = 34
- 2θ = 23.70°, I = 30
- 2θ = 47.23°, I = 30
- 2θ = 69.26°, I = 26
- 2θ = 20.77°, I = 19

Lattice parameters (Å, degrees): 4.420 5.203 7.507 90.00 90.00 90.00
Sites, in units of the cell vectors:
Cu 0.000 0.000 0.000
Cu 0.000 0.500 0.500
Cu 0.500 0.000 0.167
Cu 0.500 0.500 0.667
Sb 0.000 0.000 0.361
Sb 0.000 0.500 0.861
Te 0.500 0.000 0.805
Te 0.500 0.500 0.305

***

# 5
Structure and theoretical powder diffractogram of Th2CuSb4 (the PBE geometry in Alexandria; Cu Ka).
Lines closer than 0.1° are merged.

Main lines, by intensity (5 to 70 degrees two-theta):
- 2θ = 34.18°, I = 100
- 2θ = 40.64°, I = 46
- 2θ = 34.67°, I = 40
- 2θ = 22.08°, I = 29
- 2θ = 29.96°, I = 26
- 2θ = 69.82°, I = 25
- 2θ = 54.46°, I = 22
- 2θ = 52.12°, I = 20
- 2θ = 68.11°, I = 18
- 2θ = 28.43°, I = 17

Lattice parameters (Å, degrees): 4.440 4.440 9.552 90.00 90.00 90.00
Sites, in units of the cell vectors:
Th 0.000 0.500 0.238
Th 0.500 0.000 0.762
Cu 0.500 0.500 0.000
Sb 0.000 0.000 0.500
Sb 0.000 0.500 0.853
Sb 0.500 0.000 0.147
Sb 0.500 0.500 0.500

***

# 6
Structure and theoretical powder diffractogram of Th3Cu3Sb4 (the PBE geometry in Alexandria; Cu Ka).
Lines closer than 0.1° are merged.

Main lines, by intensity (5 to 70 degrees two-theta):
- 2θ = 34.30°, I = 100
- 2θ = 28.86°, I = 59
- 2θ = 41.27°, I = 43
- 2θ = 58.12°, I = 24
- 2θ = 45.42°, I = 15
- 2θ = 43.38°, I = 14
- 2θ = 22.26°, I = 14
- 2θ = 51.14°, I = 12
- 2θ = 59.78°, I = 12
- 2θ = 61.42°, I = 11

Lattice parameters (Å, degrees): 8.473 8.473 8.473 109.47 109.47 109.47
Sites, in units of the cell vectors:
Th 0.125 0.875 0.250
Th 0.250 0.125 0.875
Th 0.375 0.625 0.750
Th 0.625 0.750 0.375
Th 0.750 0.375 0.625
Th 0.875 0.250 0.125
Cu 0.125 0.750 0.875
Cu 0.250 0.625 0.375
Cu 0.375 0.250 0.625
Cu 0.625 0.375 0.250
Cu 0.750 0.875 0.125
Cu 0.875 0.125 0.750
Sb 0.000 0.169 0.500
Sb 0.000 0.669 0.500
Sb 0.169 0.500 0.000
Sb 0.331 0.331 0.331
Sb 0.500 0.000 0.169
Sb 0.500 0.000 0.669
Sb 0.669 0.500 0.000
Sb 0.831 0.831 0.831

***

# 7
Structure and theoretical powder diffractogram of Tm3Cu3Sb4 (the PBE geometry in Alexandria; Cu Ka).
Lines closer than 0.1° are merged.

Main lines, by intensity (5 to 70 degrees two-theta):
- 2θ = 35.26°, I = 100
- 2θ = 29.66°, I = 55
- 2θ = 42.45°, I = 37
- 2θ = 59.87°, I = 19
- 2θ = 46.73°, I = 16
- 2θ = 61.59°, I = 13
- 2θ = 44.63°, I = 12
- 2θ = 63.28°, I = 10
- 2θ = 48.75°, I = 9
- 2θ = 68.22°, I = 9

Lattice parameters (Å, degrees): 8.248 8.248 8.248 109.47 109.47 109.47
Sites, in units of the cell vectors:
Tm 0.125 0.875 0.250
Tm 0.250 0.125 0.875
Tm 0.375 0.625 0.750
Tm 0.625 0.750 0.375
Tm 0.750 0.375 0.625
Tm 0.875 0.250 0.125
Cu 0.125 0.750 0.875
Cu 0.250 0.625 0.375
Cu 0.375 0.250 0.625
Cu 0.625 0.375 0.250
Cu 0.750 0.875 0.125
Cu 0.875 0.125 0.750
Sb 0.000 0.162 0.500
Sb 0.000 0.662 0.500
Sb 0.162 0.500 0.000
Sb 0.338 0.338 0.338
Sb 0.500 0.000 0.162
Sb 0.500 0.000 0.662
Sb 0.662 0.500 0.000
Sb 0.838 0.838 0.838

***

# 8
Structure and theoretical powder diffractogram of Tm4Cu2Sb (the PBE geometry in Alexandria; Cu Ka).
Lines closer than 0.1° are merged.

Main lines, by intensity (5 to 70 degrees two-theta):
- 2θ = 31.80°, I = 100
- 2θ = 33.18°, I = 89
- 2θ = 37.76°, I = 82
- 2θ = 31.62°, I = 70
- 2θ = 38.21°, I = 61
- 2θ = 28.98°, I = 37
- 2θ = 53.95°, I = 23
- 2θ = 52.24°, I = 20
- 2θ = 24.59°, I = 18
- 2θ = 53.14°, I = 17

Lattice parameters (Å, degrees): 7.623 7.623 7.610 108.05 108.05 112.26
Sites, in units of the cell vectors:
Tm 0.005 0.995 0.500
Tm 0.110 0.469 0.870
Tm 0.353 0.868 0.718
Tm 0.456 0.598 0.346
Tm 0.469 0.110 0.370
Tm 0.598 0.456 0.846
Tm 0.868 0.353 0.218
Tm 0.995 0.005 0.000
Cu 0.114 0.732 0.241
Cu 0.232 0.348 0.475
Cu 0.348 0.232 0.975
Cu 0.732 0.114 0.741
Sb 0.606 0.856 0.108
Sb 0.856 0.606 0.608

***

# 9
Structure and theoretical powder diffractogram of TmCuSb (the PBE geometry in Alexandria; Cu Ka).
Lines closer than 0.1° are merged.

Main lines, by intensity (5 to 70 degrees two-theta):
- 2θ = 35.51°, I = 100
- 2θ = 30.97°, I = 58
- 2θ = 41.15°, I = 55
- 2θ = 34.93°, I = 32
- 2θ = 28.33°, I = 32
- 2θ = 21.17°, I = 17
- 2θ = 33.25°, I = 14
- 2θ = 53.81°, I = 12
- 2θ = 37.11°, I = 12
- 2θ = 44.99°, I = 10

Lattice parameters (Å, degrees): 5.807 7.277 7.109 90.00 117.77 90.00
Sites, in units of the cell vectors:
Tm 0.207 0.219 0.363
Tm 0.207 0.281 0.863
Tm 0.793 0.719 0.137
Tm 0.793 0.781 0.637
Cu 0.204 0.579 0.538
Cu 0.204 0.921 0.038
Cu 0.796 0.079 0.962
Cu 0.796 0.421 0.462
Sb 0.333 0.587 0.205
Sb 0.333 0.913 0.705
Sb 0.667 0.087 0.295
Sb 0.667 0.413 0.795

***

# 10
Structure and theoretical powder diffractogram of CuSb2W (the PBE geometry in Alexandria; Cu Ka).
Lines closer than 0.1° are merged.

Main lines, by intensity (5 to 70 degrees two-theta):
- 2θ = 34.60°, I = 100
- 2θ = 42.17°, I = 60
- 2θ = 34.93°, I = 39
- 2θ = 40.77°, I = 36
- 2θ = 46.76°, I = 25
- 2θ = 33.28°, I = 23
- 2θ = 49.57°, I = 21
- 2θ = 66.06°, I = 17
- 2θ = 59.67°, I = 17
- 2θ = 16.46°, I = 13

Lattice parameters (Å, degrees): 3.886 3.678 10.770 90.00 90.00 90.00
Sites, in units of the cell vectors:
Cu 0.000 0.000 0.000
Cu 0.000 0.500 0.500
Sb 0.000 0.000 0.243
Sb 0.000 0.500 0.743
Sb 0.500 0.000 0.538
Sb 0.500 0.500 0.038
W 0.500 0.000 0.831
W 0.500 0.500 0.331

***

# 11
Structure and theoretical powder diffractogram of Cu2SbW (the PBE geometry in Alexandria; Cu Ka).
Lines closer than 0.1° are merged.

Main lines, by intensity (5 to 70 degrees two-theta):
- 2θ = 37.86°, I = 100
- 2θ = 44.89°, I = 61
- 2θ = 40.81°, I = 26
- 2θ = 20.08°, I = 23
- 2θ = 63.28°, I = 22
- 2θ = 10.00°, I = 18
- 2θ = 67.40°, I = 17
- 2θ = 35.92°, I = 16
- 2θ = 49.63°, I = 7
- 2θ = 67.11°, I = 6

Lattice parameters (Å, degrees): 2.939 2.939 26.534 90.00 90.00 120.00
Sites, in units of the cell vectors:
Cu 0.000 0.000 0.246
Cu 0.000 0.000 0.754
Cu 0.333 0.667 0.421
Cu 0.333 0.667 0.913
Cu 0.667 0.333 0.087
Cu 0.667 0.333 0.579
Sb 0.000 0.000 0.000
Sb 0.333 0.667 0.667
Sb 0.667 0.333 0.333
W 0.000 0.000 0.500
W 0.333 0.667 0.167
W 0.667 0.333 0.833

***

# 12
Structure and theoretical powder diffractogram of YCu2Sb2 (the PBE geometry in Alexandria; Cu Ka).
Lines closer than 0.1° are merged.

Main lines, by intensity (5 to 70 degrees two-theta):
- 2θ = 35.60°, I = 100
- 2θ = 31.69°, I = 59
- 2θ = 41.80°, I = 38
- 2θ = 41.97°, I = 35
- 2θ = 47.12°, I = 26
- 2θ = 60.73°, I = 24
- 2θ = 31.96°, I = 19
- 2θ = 40.87°, I = 13
- 2θ = 38.34°, I = 13
- 2θ = 26.10°, I = 12

Lattice parameters (Å, degrees): 11.409 11.409 4.306 90.00 90.00 158.16
Sites, in units of the cell vectors:
Y 0.139 0.861 0.750
Y 0.861 0.139 0.250
Cu 0.029 0.971 0.250
Cu 0.470 0.530 0.250
Cu 0.530 0.470 0.750
Cu 0.971 0.029 0.750
Sb 0.250 0.750 0.250
Sb 0.400 0.600 0.750
Sb 0.600 0.400 0.250
Sb 0.750 0.250 0.750

***

# 13
Structure and theoretical powder diffractogram of Zr2Cu3Sb3 (the PBE geometry in Alexandria; Cu Ka).
Lines closer than 0.1° are merged.

Main lines, by intensity (5 to 70 degrees two-theta):
- 2θ = 36.35°, I = 100
- 2θ = 42.93°, I = 43
- 2θ = 31.69°, I = 17
- 2θ = 62.33°, I = 14
- 2θ = 29.26°, I = 11
- 2θ = 37.20°, I = 10
- 2θ = 30.29°, I = 10
- 2θ = 60.69°, I = 9
- 2θ = 53.44°, I = 8
- 2θ = 56.37°, I = 8

Lattice parameters (Å, degrees): 4.214 4.214 8.852 90.00 90.00 90.00
Sites, in units of the cell vectors:
Zr 0.000 0.000 0.000
Zr 0.500 0.500 0.495
Cu 0.000 0.500 0.213
Cu 0.500 0.000 0.213
Cu 0.500 0.500 0.061
Sb 0.000 0.000 0.395
Sb 0.000 0.500 0.753
Sb 0.500 0.000 0.753